[1]
This entry pairs a crystal structure of LaC2 with its calculated XRD peak list. Radiation: a wavelength of 1.5418 Å. Structure: a structure optimized by DFT (GGA-PBE).
Neutral-atom scattering factors, no anomalous dispersion.

Structure:
a b c (Å): 3.9982 4.8701 5.4411
angles (deg): 90.00 90.00 90.00
Space group Immm (No. 71)
One atom of each set of equivalent atoms:
1 La 0.0000 0.0000 0.0000 (multiplicity 2)
2 C 0.0000 0.1332 0.5000 (multiplicity 4)

Principal peaks in the range 10° ≤ 2θ ≤ 80°, most intense first:
h k l	d [Å]	I_rel
1 1 0	3.090	100.0
0 1 1	3.629	94.8
1 0 1	3.222	61.8
1 1 2	2.042	59.7
1 2 1	1.943	44.1
0 0 2	2.721	38.5

[2]
This entry pairs a crystal structure of Pr3SiN3O2 with its calculated XRD peak list. Radiation: a wavelength of 1.5418 Å. Structure: a structure optimized by DFT (GGA-PBE).
Neutral-atom scattering factors, no anomalous dispersion.

Structure:
a b c (Å): 9.6096 11.1083 9.4583
angles (deg): 90.00 90.00 90.00
Space group Fmm2 (No. 42)
One atom of each set of equivalent atoms:
1 Pr 0.0000 0.0000 0.0000 (multiplicity 4)
2 Pr 0.0000 0.0000 0.3425 (multiplicity 4)
3 Pr 0.1773 0.0000 0.6649 (multiplicity 8)
4 Pr 0.2500 0.2500 0.4235 (multiplicity 8)
5 Si 0.0000 0.2477 0.1631 (multiplicity 8)
6 N 0.0000 0.1503 0.5243 (multiplicity 8)
7 N 0.1418 0.1508 0.1661 (multiplicity 16)
8 O 0.0000 0.1515 0.8048 (multiplicity 8)
9 O 0.2424 0.0000 0.9155 (multiplicity 8)

Principal peaks in the range 10° ≤ 2θ ≤ 80°, most intense first:
h k l	d [Å]	I_rel
2 2 2	2.881	100.0
0 4 0	2.777	41.3
3 3 1	2.347	34.5
3 1 1	2.927	34.3
1 3 3	2.329	33.6
1 1 3	2.892	32.0

[3]
This entry pairs a crystal structure of Sr6YScB6O18 with its calculated XRD peak list. Radiation: a wavelength of 1.5418 Å. Structure: a structure optimized by DFT (GGA-PBE).
Neutral-atom scattering factors, no anomalous dispersion.

Structure:
a b c (Å): 12.4374 12.4374 9.3794
angles (deg): 90.00 90.00 120.00
Space group R-3 (No. 148, hexagonal axes)
One atom of each set of equivalent atoms:
1 Sr 0.0440 0.4661 0.3118 (multiplicity 18)
2 Y 0.0000 0.0000 0.0000 (multiplicity 3)
3 Sc 0.0000 0.0000 0.5000 (multiplicity 3)
4 B 0.0530 0.1964 0.2398 (multiplicity 18)
5 O 0.0070 0.7416 0.8024 (multiplicity 18)
6 O 0.0466 0.8791 0.1444 (multiplicity 18)
7 O 0.0498 0.1632 0.3830 (multiplicity 18)

Principal peaks in the range 10° ≤ 2θ ≤ 80°, most intense first:
h k l	d [Å]	I_rel
3 -2 2	3.074	100.0
2 1 1	3.734	51.1
4 -3 1	2.846	42.5
2 1 4	2.032	28.6
4 1 3	1.879	25.9
3 1 2	2.520	25.4